The following is a calculated X-ray diffraction stick pattern of TeAsPb. It was derived from DFT lattice parameters and positions (GGA-PBE), using Cu Kα, 1.54184 Å.
Lines closer than 0.1° are merged.

Lattice parameters (Å, degrees): 5.813 5.813 4.357 98.51 98.51 37.45
Atoms (fractional coordinates):
Te  0.000  0.000  0.000
As  0.317  0.317  0.074
Pb  0.695  0.695  0.540

Peak list (10 most intense, 10 to 90 degrees two-theta, by angle)
- 2θ 16.3, I = 24
- 2θ 24.3, I = 56
- 2θ 28.4, I = 62
- 2θ 32.0, I = 100
- 2θ 33.6, I = 52
- 2θ 34.5, I = 100
- 2θ 36.2, I = 31
- 2θ 42.0, I = 42
- 2θ 50.3, I = 27
- 2θ 52.0, I = 28